Starting from a cell relaxed with PBE, the X-ray diffraction stick pattern of Er12Co6Bi was calculated for copper Kα.

Peak list (10 most intense, 2θ = 10–90°, in order of rising 2θ)
d (Å)  I/Imax
3.039  50
2.775  59
2.569  100
2.403  23
1.885  27
1.648  37
1.559  42
1.359  22
1.133  18
1.117  19

Atomic structure:
```
data_Er12Co6Bi
_chemical_formula_sum 'Er12 Co6 Bi1'
_space_group_name_H-M_alt 'P 1'
_space_group_IT_number 1
_cell_length_a 8.3238
_cell_length_b 8.3238
_cell_length_c 8.3238
_cell_angle_alpha 109.47
_cell_angle_beta 109.47
_cell_angle_gamma 109.47
loop_
_space_group_symop_operation_xyz
'x,y,z'
loop_
_atom_site_label
_atom_site_type_symbol
_atom_site_fract_x
_atom_site_fract_y
_atom_site_fract_z
_atom_site_occupancy
Er1 Er 0.1089 0.8034 0.3055 1
Er2 Er 0.1966 0.3055 0.5022 1
Er3 Er 0.1966 0.6945 0.8911 1
Er4 Er 0.3055 0.1089 0.8034 1
Er5 Er 0.3055 0.5022 0.1966 1
Er6 Er 0.4978 0.8034 0.6945 1
Er7 Er 0.5022 0.1966 0.3055 1
Er8 Er 0.6945 0.4978 0.8034 1
Er9 Er 0.6945 0.8911 0.1966 1
Er10 Er 0.8034 0.3055 0.1089 1
Er11 Er 0.8034 0.6945 0.4978 1
Er12 Er 0.8911 0.1966 0.6945 1
Co1 Co 0.1132 0.6132 0.5000 1
Co2 Co 0.3868 0.5000 0.8868 1
Co3 Co 0.5000 0.1132 0.6132 1
Co4 Co 0.5000 0.8868 0.3868 1
Co5 Co 0.6132 0.5000 0.1132 1
Co6 Co 0.8868 0.3868 0.5000 1
Bi1 Bi 0.0000 0.0000 0.0000 1
```

---

Starting from a cell relaxed with PBE, the X-ray diffraction stick pattern of AcCd5In7 was calculated for copper Kα.

Peak list (10 most intense, 2θ = 10–90°, in order of rising 2θ)
d (Å)  I/Imax
3.131  38
2.994  46
2.755  33
2.680  76
2.631  100
2.593  77
2.433  24
2.346  60
1.566  36
1.497  28

Atomic structure:
```
data_AcCd5In7
_chemical_formula_sum 'Ac1 Cd5 In7'
_space_group_name_H-M_alt 'P 1'
_space_group_IT_number 1
_cell_length_a 8.1366
_cell_length_b 8.1366
_cell_length_c 8.1366
_cell_angle_alpha 136.80
_cell_angle_beta 94.77
_cell_angle_gamma 100.83
loop_
_space_group_symop_operation_xyz
'x,y,z'
loop_
_atom_site_label
_atom_site_type_symbol
_atom_site_fract_x
_atom_site_fract_y
_atom_site_fract_z
_atom_site_occupancy
Ac1 Ac 0.0000 0.0000 0.0000 1
Cd1 Cd 0.0083 0.0037 0.5047 1
Cd2 Cd 0.0083 0.5036 0.0046 1
Cd3 Cd 0.2221 0.7221 0.5000 1
Cd4 Cd 0.4990 0.0037 0.9954 1
Cd5 Cd 0.4990 0.5036 0.4953 1
In1 In 0.2008 0.5037 0.6971 1
In2 In 0.3563 0.0044 0.3519 1
In3 In 0.3557 0.3557 0.0000 1
In4 In 0.6491 0.6491 0.0000 1
In5 In 0.6525 0.0044 0.6481 1
In6 In 0.7831 0.2831 0.5000 1
In7 In 0.8066 0.5037 0.3029 1
```

---

Starting from a cell relaxed with PBE, the X-ray diffraction stick pattern of ReTc2Ni was calculated for copper Kα.

Peak list (10 most intense, 2θ = 10–90°, in order of rising 2θ)
d (Å)  I/Imax
4.367  20
2.220  100
2.193  48
2.184  48
1.909  94
1.352  20
1.347  19
1.159  12
1.157  12
1.146  18

Atomic structure:
```
data_ReTc2Ni
_chemical_formula_sum 'Re2 Tc4 Ni2'
_space_group_name_H-M_alt 'P 1'
_space_group_IT_number 1
_cell_length_a 8.8598
_cell_length_b 2.7294
_cell_length_c 4.6686
_cell_angle_alpha 90.00
_cell_angle_beta 99.64
_cell_angle_gamma 90.00
loop_
_space_group_symop_operation_xyz
'x,y,z'
loop_
_atom_site_label
_atom_site_type_symbol
_atom_site_fract_x
_atom_site_fract_y
_atom_site_fract_z
_atom_site_occupancy
Re1 Re 0.0000 0.0000 0.0000 1
Re2 Re 0.5000 0.5000 0.0000 1
Tc1 Tc 0.2469 0.0000 0.7369 1
Tc2 Tc 0.4956 0.0000 0.4880 1
Tc3 Tc 0.7469 0.5000 0.7369 1
Tc4 Tc 0.9956 0.5000 0.4880 1
Ni1 Ni 0.2458 0.5000 0.2355 1
Ni2 Ni 0.7458 0.0000 0.2355 1
```

---

Starting from a cell relaxed with PBE, the X-ray diffraction stick pattern of Na3CuI4 was calculated for copper Kα.

Peak list (10 most intense, 2θ = 10–90°, in order of rising 2θ)
d (Å)  I/Imax
6.167  13
3.963  100
3.471  15
3.357  7
2.455  19
2.413  37
2.087  27
2.037  13
1.567  11
1.409  9

Atomic structure:
```
data_Na3CuI4
_chemical_formula_sum 'Na6 Cu2 I8'
_space_group_name_H-M_alt 'P 1'
_space_group_IT_number 1
_cell_length_a 6.9429
_cell_length_b 6.9429
_cell_length_c 13.4296
_cell_angle_alpha 90.00
_cell_angle_beta 90.00
_cell_angle_gamma 90.00
loop_
_space_group_symop_operation_xyz
'x,y,z'
loop_
_atom_site_label
_atom_site_type_symbol
_atom_site_fract_x
_atom_site_fract_y
_atom_site_fract_z
_atom_site_occupancy
Na1 Na 0.0000 0.0000 0.0000 1
Na2 Na 0.0000 0.5000 0.2500 1
Na3 Na 0.0000 0.5000 0.7500 1
Na4 Na 0.5000 0.0000 0.2500 1
Na5 Na 0.5000 0.0000 0.7500 1
Na6 Na 0.5000 0.5000 0.5000 1
Cu1 Cu 0.0000 0.0000 0.5000 1
Cu2 Cu 0.5000 0.5000 0.0000 1
I1 I 0.2223 0.2223 0.3873 1
I2 I 0.2223 0.7777 0.6127 1
I3 I 0.2777 0.2777 0.8873 1
I4 I 0.2777 0.7223 0.1127 1
I5 I 0.7223 0.2777 0.1127 1
I6 I 0.7223 0.7223 0.8873 1
I7 I 0.7777 0.2223 0.6127 1
I8 I 0.7777 0.7777 0.3873 1
```